This entry pairs a crystal structure of Y2PaN4 with its simulated X-ray diffraction stick pattern. Radiation: Cu Kα (λ = 1.5418 Å). Structure: a structure optimized by DFT (GGA-PBE).
Kinematic intensities with the Lorentz-polarization factor, no thermal factor.

Structural model:
Cell: 5.874 9.755 3.565 Å, 90.00 90.00 90.00°
Space group Pbam (No. 55)
Symmetry-distinct sites (fractional):
Y 0.061 0.175 0.000 x4
Pa 0.000 0.500 0.500 x2
N 0.155 0.702 0.500 x4
N 0.238 0.459 0.000 x4

Top 10 peaks for 10 to 90 degrees two-theta, most intense first:
2theta	I/Imax	h k l
30.7	100	1 1 1
31.4	74	1 3 0
17.6	48	1 1 0
44.1	44	2 2 1
31.1	42	0 2 1
30.4	28	2 0 0
56.0	25	1 5 1
61.4	22	1 3 2
54.7	16	3 3 0
55.3	16	2 4 1

---

This entry pairs a crystal structure of CsCuTe2PtS with its simulated X-ray diffraction stick pattern. Radiation: Cu Kα (λ = 1.5418 Å). Structure: a structure optimized by DFT (GGA-PBE).
Kinematic intensities with the Lorentz-polarization factor, no thermal factor.

Structural model:
Cell: 4.092 14.957 11.272 Å, 90.00 90.00 90.00°
Space group Cmcm (No. 63)
Symmetry-distinct sites (fractional):
Cs 0.000 0.234 0.250 x4
Cu 0.000 0.041 0.750 x4
Te 0.000 0.112 0.538 x8
Pt 0.000 0.500 0.000 x4
S 0.000 0.478 0.750 x4

Top 10 peaks for 10 to 90 degrees two-theta, most intense first:
2theta	I/Imax	h k l
19.7	100	0 2 2
40.6	97	1 5 2
11.8	92	0 2 0
31.8	75	0 0 4
28.2	73	1 3 0
32.5	72	1 3 2
29.3	64	1 3 1
49.7	57	1 3 5
44.3	41	2 0 0
37.2	41	1 5 0

---

This entry pairs a crystal structure of Tb2PdPt with its simulated X-ray diffraction stick pattern. Radiation: Cu Kα (λ = 1.5418 Å). Structure: a structure optimized by DFT (GGA-PBE).
Kinematic intensities with the Lorentz-polarization factor, no thermal factor.

Structural model:
Cell: 5.617 4.534 7.516 Å, 90.00 109.58 90.00°
Space group P2_1/m (No. 11)
Symmetry-distinct sites (fractional):
Tb 0.222 0.250 0.434 x2
Tb 0.228 0.250 0.928 x2
Pd 0.321 0.750 0.206 x2
Pt 0.330 0.750 0.707 x2

Top 10 peaks for 10 to 90 degrees two-theta, most intense first:
2theta	I/Imax	h k l
32.1	100	0 1 2
40.3	74	1 1 2
39.8	34	0 2 0
33.9	31	2 0 0
39.4	22	2 1 0
48.4	19	1 0 -4
74.8	18	1 2 4
53.2	18	2 2 0
64.4	17	1 2 -4
34.9	16	1 0 2

---

This entry pairs a crystal structure of Hf4Zr2In3C3 with its simulated X-ray diffraction stick pattern. Radiation: Cu Kα (λ = 1.5418 Å). Structure: a structure optimized by DFT (GGA-PBE).
Kinematic intensities with the Lorentz-polarization factor, no thermal factor.

Structural model:
Cell: 10.021 5.787 15.312 Å, 90.00 102.60 90.00°
Space group C2/c (No. 15)
Symmetry-distinct sites (fractional):
Hf 0.110 0.085 0.081 x8
Hf 0.224 0.083 0.419 x8
Zr 0.055 0.417 0.916 x8
In 0.000 0.078 0.750 x4
In 0.169 0.414 0.250 x8
C 0.085 0.246 0.500 x8
C 0.250 0.250 0.000 x4

Top 10 peaks for 10 to 90 degrees two-theta, most intense first:
2theta	I/Imax	h k l
35.9	100	0 2 3
30.9	22	3 1 -1
36.1	21	0 0 6
55.0	20	6 0 -2
67.5	20	6 0 -8
64.7	18	0 2 9
48.2	16	3 1 5
67.4	16	6 2 -5
90.0	8	6 2 -11
11.8	4	0 0 2